Diffraction record for NaPrZn17. The XRD peak list is computed, not measured: it uses a crystal structure in Alexandria, relaxed with GGA-PBE and copper Kα.
Lines closer than 0.1° are merged.

Peak list (10 most intense, 2θ from 5° to 70°, sorted by position)
2θ 13.1, d 6.760, intensity 23.2
2θ 34.2, d 2.618, intensity 33.4
2θ 35.4, d 2.535, intensity 28.3
2θ 39.8, d 2.268, intensity 62.2
2θ 40.0, d 2.253, intensity 100.0
2θ 40.8, d 2.212, intensity 51.1
2θ 41.0, d 2.199, intensity 22.9
2θ 44.9, d 2.018, intensity 69.5
2θ 45.6, d 1.988, intensity 17.1
2θ 58.3, d 1.583, intensity 20.0

Structure:
```
data_NaPrZn17
_chemical_formula_sum 'Na3 Pr3 Zn51'
_cell_length_a 9.0702
_cell_length_b 9.0702
_cell_length_c 13.2724
_cell_angle_alpha 90.00
_cell_angle_beta 90.00
_cell_angle_gamma 120.00
_symmetry_space_group_name_H-M 'R 3 m'
_symmetry_Int_Tables_number 160
_symmetry_space_group_name_Hall 'R 3 -2"'
loop_
_atom_site_label
_atom_site_fract_x
_atom_site_fract_y
_atom_site_fract_z
Na1 0.0000 0.0000 0.0000
Pr1 0.0000 0.0000 0.3211
Zn1 0.0000 0.0000 0.5604
Zn2 0.0000 0.0000 0.7605
Zn3 0.0032 0.2980 0.6581
Zn4 0.0051 0.5025 0.1564
Zn5 0.0084 0.5042 0.8115
Zn6 0.1696 0.3392 0.8385
```


Diffraction record for DyZnPO. The XRD peak list is computed, not measured: it uses a crystal structure in Alexandria, relaxed with GGA-PBE and copper Kα.
Lines closer than 0.1° are merged.

Peak list (10 most intense, 2θ from 5° to 70°, sorted by position)
2θ 8.7, d 10.128, intensity 27.3
2θ 26.5, d 3.358, intensity 23.7
2θ 28.9, d 3.087, intensity 100.0
2θ 30.3, d 2.953, intensity 72.7
2θ 33.6, d 2.666, intensity 34.1
2θ 35.5, d 2.532, intensity 32.4
2θ 39.9, d 2.259, intensity 34.6
2θ 46.6, d 1.951, intensity 71.6
2θ 55.5, d 1.655, intensity 23.3
2θ 59.9, d 1.545, intensity 46.0

Structure:
```
data_DyZnPO
_chemical_formula_sum 'Dy6 Zn6 P6 O6'
_cell_length_a 3.9016
_cell_length_b 3.9016
_cell_length_c 30.3833
_cell_angle_alpha 90.00
_cell_angle_beta 90.00
_cell_angle_gamma 120.00
_symmetry_space_group_name_H-M 'R -3 m'
_symmetry_Int_Tables_number 166
_symmetry_space_group_name_Hall '-R 3 2"'
loop_
_atom_site_label
_atom_site_fract_x
_atom_site_fract_y
_atom_site_fract_z
Dy1 0.0000 0.0000 0.1203
Zn1 0.0000 0.0000 0.3037
P1 0.0000 0.0000 0.3883
O1 0.0000 0.0000 0.1946
```


> Which formula does entry 2 have?

DyZnPO